1.
# Na4ZrGaSi2PO12
Calculated XRD peak list, Cu Kα. Input: the GGA-PBE geometry in the Materials Project.

Cell: 9.0912 9.0912 9.1583 Å, 120.12 120.12 60.61°
Sites, in units of the cell vectors:
1 Na 0.0582 0.9418 0.5000
2 Na 0.1975 0.4350 0.9899
3 Na 0.3127 0.8204 0.2409
4 Na 0.4350 0.1975 0.4899
5 Na 0.5621 0.7066 0.0008
6 Na 0.7066 0.5621 0.5008
7 Na 0.8204 0.3127 0.7409
8 Na 0.9418 0.0582 0.0000
9 Zr 0.4651 0.9665 0.6970
10 Zr 0.9665 0.4651 0.1970
11 Ga 0.1512 0.6802 0.8019
12 Ga 0.6802 0.1512 0.3019
13 Si 0.0627 0.2796 0.5055
14 Si 0.2796 0.0627 0.0055
15 Si 0.7760 0.8670 0.5040
16 Si 0.8670 0.7760 0.0040
17 P 0.3649 0.5646 0.5081
18 P 0.5646 0.3649 0.0081
19 O 0.0437 0.3008 0.3284
20 O 0.0502 0.7503 0.9875
21 O 0.0944 0.2356 0.0167
22 O 0.0945 0.4584 0.6817
23 O 0.1953 0.5421 0.3380
24 O 0.2356 0.0944 0.5167
25 O 0.2585 0.8825 0.9839
26 O 0.3008 0.0437 0.8284
27 O 0.3349 0.5922 0.6735
28 O 0.3832 0.7317 0.5182
29 O 0.4038 0.5340 0.9876
30 O 0.4584 0.0945 0.1817
31 O 0.5340 0.4038 0.4876
32 O 0.5421 0.1953 0.8380
33 O 0.5922 0.3349 0.1735
34 O 0.5918 0.8867 0.5158
35 O 0.6865 0.8011 0.8274
36 O 0.7317 0.3832 0.0182
37 O 0.7503 0.0502 0.4875
38 O 0.8011 0.6865 0.3274
39 O 0.8401 0.9552 0.1793
40 O 0.8825 0.2585 0.4839
41 O 0.8867 0.5918 0.0158
42 O 0.9552 0.8401 0.6793

Top 10 peaks for 5 to 70 degrees two-theta, sorted by position:
2θ/deg  Rel. int.
19.37  53
19.51  100
22.78  23
27.52  29
30.89  98
31.20  51
33.96  63
34.27  30
46.54  45
47.05  22

2.
# Na2GaSnP3O12
Calculated XRD peak list, Cu Kα. Input: the GGA-PBE geometry in the Materials Project.

Cell: 8.7586 8.7586 9.0018 Å, 119.17 119.17 59.59°
Sites, in units of the cell vectors:
1 Na 0.0031 0.5026 0.2547
2 Na 0.1138 0.8862 0.5000
3 Na 0.5026 0.0031 0.7547
4 Na 0.8862 0.1138 0.0000
5 Ga 0.1501 0.6414 0.6912
6 Ga 0.6414 0.1501 0.1912
7 Sn 0.3585 0.8505 0.3011
8 Sn 0.8505 0.3585 0.8011
9 P 0.0374 0.2555 0.4902
10 P 0.2555 0.0374 0.9902
11 P 0.4555 0.5379 0.4922
12 P 0.5379 0.4555 0.9922
13 P 0.7521 0.9579 0.4964
14 P 0.9579 0.7521 0.9964
15 O 0.0194 0.2632 0.6583
16 O 0.0644 0.4269 0.5156
17 O 0.0770 0.2193 0.9784
18 O 0.1258 0.7759 0.1727
19 O 0.2193 0.0770 0.4784
20 O 0.2231 0.8712 0.8199
21 O 0.2632 0.0194 0.1583
22 O 0.2751 0.5712 0.5137
23 O 0.3689 0.4868 0.8268
24 O 0.4257 0.7247 0.4795
25 O 0.4269 0.0644 0.0156
26 O 0.4868 0.3689 0.3268
27 O 0.5246 0.6253 0.1652
28 O 0.5712 0.2751 0.0137
29 O 0.5801 0.9360 0.4819
30 O 0.6253 0.5246 0.6652
31 O 0.7247 0.4257 0.9795
32 O 0.7338 0.9901 0.3343
33 O 0.7759 0.1258 0.6727
34 O 0.7809 0.9283 0.0167
35 O 0.8712 0.2231 0.3199
36 O 0.9283 0.7809 0.5167
37 O 0.9360 0.5801 0.9819
38 O 0.9901 0.7338 0.8343

Top 10 peaks for 5 to 70 degrees two-theta, sorted by position:
2θ/deg  Rel. int.
14.12  52
19.76  100
20.28  68
20.41  41
23.57  48
28.54  45
31.51  56
31.59  91
35.66  41
48.22  31